Structure and simulated powder XRD pattern of Li5Ca4Cd (the PBE geometry in Alexandria; Cu Kα X-rays).
Lines closer than 0.1° are merged.

Crystal structure
Unit cell a=10.2224 b=10.2224 c=5.5777 alpha=90.00 beta=90.00 gamma=90.00
Space group I4mm (No. 107)
Asymmetric unit:
Li (0.0000, 0.0000, 0.0000) x2
Li (0.1717, 0.1717, 0.7535) x8
Ca (0.0000, 0.2978, 0.2635) x8
Cd (0.0000, 0.0000, 0.4963) x2

Peak list (12 most intense, 2θ = 5–70°, in order of rising 2θ)
| two_theta | intensity | (hkl) |
| --- | --- | --- |
| 12.2 | 382 | 1 1 0 |
| 17.3 | 510 | 2 0 0 |
| 18.1 | 970 | 1 0 1 |
| 25.2 | 1000 | 2 1 1 |
| 27.6 | 508 | 3 1 0 |
| 30.7 | 756 | 3 0 1 |
| 34.5 | 329 | 1 1 2 |
| 35.1 | 298 | 4 0 0 |
| 35.5 | 270 | 3 2 1 |
| 37.3 | 360 | 3 3 0 |
| 40.9 | 468 | 2 2 2 |
| 47.4 | 267 | 4 3 1 |

---

Structure and simulated powder XRD pattern of Ca2NbO6F (the PBE geometry in Alexandria; Cu Kα X-rays).
Lines closer than 0.1° are merged.

Crystal structure
Unit cell a=7.3015 b=7.6978 c=10.1756 alpha=90.00 beta=90.00 gamma=90.00
Space group Imma (No. 74)
Asymmetric unit:
Ca (0.0000, 0.0000, 0.0000) x4
Ca (0.2500, 0.2500, 0.2500) x4
Nb (0.0000, 0.0000, 0.5000) x4
O (0.0000, 0.2500, 0.4338) x4
O (0.0000, 0.2500, 0.8428) x4
O (0.2159, 0.0258, 0.6191) x16
F (0.0000, 0.2500, 0.1256) x4

Peak list (12 most intense, 2θ = 5–70°, in order of rising 2θ)
| two_theta | intensity | (hkl) |
| --- | --- | --- |
| 14.4 | 258 | 0 1 1 |
| 14.9 | 387 | 1 0 1 |
| 17.4 | 507 | 0 0 2 |
| 23.1 | 263 | 0 2 0 |
| 27.6 | 295 | 1 2 1 |
| 29.1 | 1000 | 0 2 2 |
| 30.1 | 757 | 2 0 2 |
| 47.2 | 243 | 0 4 0 |
| 49.7 | 731 | 2 2 4 |
| 50.0 | 188 | 4 0 0 |
| 57.0 | 230 | 2 4 2 |
| 58.9 | 200 | 4 2 2 |

---

Structure and simulated powder XRD pattern of MgSn2Rh2 (the PBE geometry in Alexandria; Cu Kα X-rays).
Lines closer than 0.1° are merged.

Crystal structure
Unit cell a=4.6093 b=6.1609 c=13.5028 alpha=90.00 beta=90.00 gamma=90.00
Space group Imma (No. 74)
Asymmetric unit:
Mg (0.0000, 0.2500, 0.1693) x4
Sn (0.0000, 0.2500, 0.4944) x4
Sn (0.0000, 0.2500, 0.8421) x4
Rh (0.0000, 0.0081, 0.6648) x8

Peak list (12 most intense, 2θ = 5–70°, in order of rising 2θ)
| two_theta | intensity | (hkl) |
| --- | --- | --- |
| 15.8 | 155 | 0 1 1 |
| 20.4 | 294 | 1 0 1 |
| 27.5 | 94 | 1 1 2 |
| 31.9 | 107 | 0 2 2 |
| 36.3 | 49 | 0 1 5 |
| 38.6 | 73 | 1 0 5 |
| 39.1 | 281 | 2 0 0 |
| 40.1 | 251 | 0 0 6 |
| 40.5 | 1000 | 1 2 3 |
| 51.3 | 76 | 2 2 2 |
| 57.2 | 178 | 2 0 6 |
| 60.1 | 94 | 0 4 0 |

---

Structure and simulated powder XRD pattern of Ho2Er5Tm4 (the PBE geometry in Alexandria; Cu Kα X-rays).
Lines closer than 0.1° are merged.

Crystal structure
Unit cell a=3.4474 b=8.8521 c=22.8781 alpha=90.00 beta=90.00 gamma=90.00
Space group Immm (No. 71)
Asymmetric unit:
Ho (0.0000, 0.0000, 0.2315) x4
Er (0.0000, 0.1972, 0.3567) x8
Er (0.0000, 0.5000, 0.0000) x2
Tm (0.0000, 0.0000, 0.0970) x4
Tm (0.0000, 0.3113, 0.5000) x4

Peak list (12 most intense, 2θ = 5–70°, in order of rising 2θ)
| two_theta | intensity | (hkl) |
| --- | --- | --- |
| 27.8 | 249 | 1 1 0 |
| 28.9 | 387 | 1 1 2 |
| 29.1 | 261 | 0 1 7 |
| 31.0 | 497 | 0 2 6 |
| 31.3 | 355 | 0 0 8 |
| 32.5 | 680 | 0 3 3 |
| 33.2 | 1000 | 1 2 1 |
| 36.6 | 343 | 1 1 6 |
| 37.9 | 471 | 1 0 7 |
| 43.3 | 332 | 1 3 4 |
| 53.1 | 242 | 2 0 0 |
| 62.9 | 259 | 2 0 8 |